This entry pairs a crystal structure of TaTe2 with its theoretical powder XRD pattern. Radiation: a wavelength of 1.5418 Å. Structure: a PBE-relaxed structure.

Structure:
```
TaTe2
1.0
7.7567 -5.4772 0.0000
7.7567 5.4772 0.0000
-3.7607 0.0000 8.9075
Ta Te
9 18
Direct
0.0000 0.0000 0.0000
0.0215 0.6984 0.7128
0.3016 0.9785 0.2872
0.3040 0.6960 0.0000
0.3634 0.3634 0.7116
0.6366 0.6366 0.2884
0.6960 0.3040 0.0000
0.6984 0.0215 0.7128
0.9785 0.3016 0.2872
0.0086 0.0086 0.3058
0.0106 0.6881 0.9852
0.0435 0.3756 0.6171
0.2945 0.2945 0.3828
0.3119 0.9894 0.0148
0.3189 0.6616 0.6960
0.3384 0.6811 0.3040
0.3678 0.3678 0.9879
0.3756 0.0435 0.6171
0.6244 0.9565 0.3829
0.6322 0.6322 0.0121
0.6616 0.3189 0.6960
0.6811 0.3384 0.3040
0.6881 0.0106 0.9852
0.7055 0.7055 0.6172
0.9565 0.6244 0.3829
0.9894 0.3119 0.0148
0.9914 0.9914 0.6942
```

The 8 most intense peaks (5 to 70 degrees two-theta), sorted by position:
7.077 Å, I = 88.8; 2.969 Å, I = 46.6; 2.898 Å, I = 100.0; 2.373 Å, I = 35.6; 2.360 Å, I = 32.6; 1.901 Å, I = 22.3; 1.865 Å, I = 20.0; 1.826 Å, I = 16.3

This entry pairs a crystal structure of TaTe2 with its theoretical powder XRD pattern. Radiation: a wavelength of 1.5418 Å. Structure: a PBE-relaxed structure.

Structure:
```
TaTe2
1.0
7.6410 -1.8337 0.0000
7.6410 1.8337 0.0000
-3.7397 0.0000 8.9138
Ta Te
3 6
Direct
0.0000 0.0000 0.0000
0.3620 0.3620 0.7128
0.6380 0.6380 0.2872
0.0079 0.0079 0.3058
0.2929 0.2929 0.3839
0.3543 0.3543 0.9859
0.6457 0.6457 0.0141
0.7071 0.7071 0.6161
0.9921 0.9921 0.6942
```

The 8 most intense peaks (5 to 70 degrees two-theta), sorted by position:
7.001 Å, I = 80.2; 2.971 Å, I = 43.0; 2.891 Å, I = 100.0; 2.374 Å, I = 33.2; 2.346 Å, I = 34.3; 1.895 Å, I = 20.8; 1.863 Å, I = 23.2; 1.834 Å, I = 16.5

This entry pairs a crystal structure of TaTe4 with its theoretical powder XRD pattern. Radiation: a wavelength of 1.5418 Å. Structure: a PBE-relaxed structure.

Structure:
```
TaTe4
1.0
6.6207 0.0000 0.0000
0.0000 6.6207 0.0000
0.0000 0.0000 6.9379
Ta Te
2 8
Direct
0.0000 0.0000 0.2500
0.0000 0.0000 0.7500
0.1409 0.3218 0.0000
0.1409 0.6782 0.5000
0.3218 0.1409 0.5000
0.3218 0.8591 0.0000
0.6782 0.1409 0.0000
0.6782 0.8591 0.5000
0.8591 0.3218 0.5000
0.8591 0.6782 0.0000
```

The 8 most intense peaks (5 to 70 degrees two-theta), sorted by position:
6.621 Å, I = 80.6; 2.787 Å, I = 38.8; 2.723 Å, I = 100.0; 2.395 Å, I = 37.2; 2.252 Å, I = 27.8; 2.094 Å, I = 31.5; 1.823 Å, I = 30.4; 1.423 Å, I = 18.2

This entry pairs a crystal structure of Ta2Te3 with its theoretical powder XRD pattern. Radiation: a wavelength of 1.5418 Å. Structure: a PBE-relaxed structure.

Structure:
```
Ta2Te3
1.0
7.6785 -1.7555 0.0000
7.6785 1.7555 0.0000
-7.1698 0.0000 10.3356
Ta Te
4 6
Direct
0.0838 0.0838 0.1448
0.2725 0.2725 0.6111
0.7275 0.7275 0.3889
0.9162 0.9162 0.8552
0.0725 0.0725 0.3597
0.3060 0.3060 0.2883
0.4010 0.4010 0.0277
0.5990 0.5990 0.9723
0.6940 0.6940 0.7117
0.9275 0.9275 0.6403
```

The 8 most intense peaks (5 to 70 degrees two-theta), sorted by position:
7.669 Å, I = 100.0; 2.651 Å, I = 13.0; 2.642 Å, I = 42.1; 2.625 Å, I = 32.7; 2.403 Å, I = 14.7; 2.305 Å, I = 15.5; 1.917 Å, I = 16.2; 1.755 Å, I = 11.4